# 1
The following is a calculated powder XRD pattern of SrCaPrFeO6. It was derived from DFT lattice parameters and positions (PBE+U), using Cu Ka.

Structural model:
```
data_SrCaPrFeO6
_space_group_name_H-M_alt 'F -4 3 m'
_space_group_IT_number 216
_space_group_name_Hall 'F -4 2 3'
_cell_length_a 8.060
_cell_length_b 8.060
_cell_length_c 8.060
_cell_angle_alpha 90.00
_cell_angle_beta 90.00
_cell_angle_gamma 90.00
loop_
_atom_site_label
_atom_site_fract_x
_atom_site_fract_y
_atom_site_fract_z
Sr1 0.000 0.000 0.000
Ca1 0.250 0.250 0.250
Pr1 0.000 0.000 0.500
Fe1 0.250 0.250 0.750
O1 0.020 0.250 0.750
```

Top 10 peaks for 2θ = 5–70°, in order of rising 2θ:
(hkl)  d/Å  I_rel
1 1 1  4.654  9.5
2 0 0  4.030  10.5
2 2 0  2.850  100.0
3 1 1  2.430  4.3
2 2 2  2.327  21.0
4 0 0  2.015  35.5
4 2 0  1.802  6.5
4 2 2  1.645  37.8
5 1 1  1.551  1.9
4 4 0  1.425  20.5

---

# 2
The following is a calculated powder XRD pattern of LiCoPO4. It was derived from DFT lattice parameters and positions (PBE+U), using Cu Ka.

Structural model:
```
data_LiCoPO4
_space_group_name_H-M_alt 'P n a 21'
_space_group_IT_number 33
_cell_length_a 8.221
_cell_length_b 8.904
_cell_length_c 4.955
_cell_angle_alpha 90.00
_cell_angle_beta 90.00
_cell_angle_gamma 90.00
loop_
_space_group_symop_operation_xyz
'x,y,z'
'-x,-y,z+1/2'
'-x+1/2,y+1/2,z+1/2'
'x+1/2,-y+1/2,z'
loop_
_atom_site_label
_atom_site_fract_x
_atom_site_fract_y
_atom_site_fract_z
Li1 0.056 0.107 0.000
Co1 0.148 0.527 0.110
P1 0.236 0.360 0.643
O1 0.079 0.444 0.753
O2 0.120 0.949 0.265
O3 0.225 0.196 0.747
O4 0.240 0.361 0.332
```

Top 10 peaks for 2θ = 5–70°, in order of rising 2θ:
(hkl)  d/Å  I_rel
1 1 0  6.040  100.0
0 2 0  4.452  77.6
0 1 1  4.330  87.6
2 0 0  4.111  72.9
1 2 0  3.915  28.9
2 0 1  3.164  45.7
2 1 1  2.981  29.2
2 2 1  2.579  65.5
0 0 2  2.478  29.7
1 3 1  2.432  51.8

---

# 3
The following is a calculated powder XRD pattern of MgCo2W2O8. It was derived from DFT lattice parameters and positions (PBE+U), using Cu Ka.

Structural model:
```
data_MgCo2W2O8
_space_group_name_H-M_alt 'P 1'
_space_group_IT_number 1
_cell_length_a 4.969
_cell_length_b 5.221
_cell_length_c 6.006
_cell_angle_alpha 86.79
_cell_angle_beta 86.02
_cell_angle_gamma 87.92
loop_
_space_group_symop_operation_xyz
'x,y,z'
loop_
_atom_site_label
_atom_site_fract_x
_atom_site_fract_y
_atom_site_fract_z
Mg1 0.000 0.000 0.000
Co1 0.494 0.516 0.224
Co2 0.503 0.004 0.968
W1 0.012 0.029 0.469
W2 0.018 0.514 0.761
O1 0.218 0.856 0.730
O2 0.222 0.340 0.483
O3 0.251 0.345 0.962
O4 0.254 0.882 0.247
O5 0.772 0.682 0.997
O6 0.774 0.166 0.260
O7 0.803 0.192 0.739
O8 0.812 0.715 0.526
```

Top 10 peaks for 2θ = 5–70°, in order of rising 2θ:
(hkl)  d/Å  I_rel
1 0 0  4.955  100.0
1 0 1  3.949  63.3
1 0 -1  3.695  54.8
1 1 1  3.245  55.5
1 -1 1  3.058  49.5
-1 1 1  3.027  43.1
1 1 -1  3.001  48.0
0 1 2  2.656  52.8
0 2 0  2.605  48.2
2 -1 2  1.809  42.6

---

# 4
The following is a calculated powder XRD pattern of Sr2FeSnO6. It was derived from DFT lattice parameters and positions (PBE+U), using Cu Ka.

Structural model:
```
data_Sr2FeSnO6
_space_group_name_H-M_alt 'C m m m'
_space_group_IT_number 65
_space_group_name_Hall '-C 2 2'
_cell_length_a 8.145
_cell_length_b 22.783
_cell_length_c 5.689
_cell_angle_alpha 90.00
_cell_angle_beta 90.00
_cell_angle_gamma 90.00
loop_
_atom_site_label
_atom_site_fract_x
_atom_site_fract_y
_atom_site_fract_z
Sr1 0.249 0.000 0.000
Sr2 0.249 0.125 0.500
Sr3 0.250 0.250 0.000
Fe1 0.000 0.125 0.000
Fe2 0.000 0.375 0.000
Sn1 0.000 0.000 0.500
Sn2 0.000 0.250 0.500
Sn3 0.000 0.500 0.500
O1 0.000 0.064 0.245
O2 0.000 0.186 0.246
O3 0.000 0.314 0.245
O4 0.000 0.436 0.245
O5 0.243 0.125 0.000
O6 0.250 0.000 0.500
O7 0.250 0.250 0.500
```

Top 10 peaks for 2θ = 5–70°, in order of rising 2θ:
(hkl)  d/Å  I_rel
0 0 1  5.692  8.2
2 0 1  3.312  4.8
2 4 1  2.863  100.0
0 8 0  2.846  49.2
4 0 0  2.036  18.1
0 8 2  2.013  34.8
4 8 0  1.656  20.1
2 12 1  1.646  39.4
4 8 2  1.431  21.4
0 16 0  1.423  10.5

---

# 5
The following is a calculated powder XRD pattern of Li2CoSnO4. It was derived from DFT lattice parameters and positions (PBE+U), using Cu Ka.

Structural model:
```
data_Li2CoSnO4
_space_group_name_H-M_alt 'P 1 2/m 1'
_space_group_IT_number 10
_cell_length_a 5.268
_cell_length_b 3.095
_cell_length_c 5.366
_cell_angle_alpha 90.00
_cell_angle_beta 109.81
_cell_angle_gamma 90.00
loop_
_space_group_symop_operation_xyz
'x,y,z'
'-x,-y,-z'
'-x,y,-z'
'x,-y,z'
loop_
_atom_site_label
_atom_site_fract_x
_atom_site_fract_y
_atom_site_fract_z
Li1 0.000 0.000 0.000
Li2 0.000 0.500 0.500
Co1 0.500 0.000 0.500
Sn1 0.500 0.500 0.000
O1 0.257 0.000 0.764
O2 0.276 0.500 0.250
```

Top 10 peaks for 2θ = 5–70°, in order of rising 2θ:
(hkl)  d/Å  I_rel
0 0 1  5.049  11.4
1 0 0  4.956  100.0
1 0 -2  2.639  55.5
0 0 2  2.523  27.4
1 1 1  2.175  71.2
2 1 -1  1.992  22.2
2 1 1  1.665  16.4
0 2 0  1.548  22.4
2 0 2  1.528  21.0
0 1 3  1.478  14.5

---

# 6
The following is a calculated powder XRD pattern of LiTiFeO4. It was derived from DFT lattice parameters and positions (PBE+U), using Cu Ka.

Structural model:
```
data_LiTiFeO4
_space_group_name_H-M_alt 'I m m 2'
_space_group_IT_number 44
_cell_length_a 3.886
_cell_length_b 4.009
_cell_length_c 9.388
_cell_angle_alpha 90.00
_cell_angle_beta 90.00
_cell_angle_gamma 90.00
loop_
_space_group_symop_operation_xyz
'x,y,z'
'-x,-y,z'
'-x,y,z'
'x,-y,z'
'x+1/2,y+1/2,z+1/2'
'-x+1/2,-y+1/2,z+1/2'
'-x+1/2,y+1/2,z+1/2'
'x+1/2,-y+1/2,z+1/2'
loop_
_atom_site_label
_atom_site_fract_x
_atom_site_fract_y
_atom_site_fract_z
Li1 0.000 0.000 0.000
Ti1 0.000 0.500 0.215
Fe1 0.000 0.000 0.456
O1 0.000 0.000 0.236
O2 0.000 0.000 0.679
O3 0.000 0.500 0.001
O4 0.000 0.500 0.424
```

Top 10 peaks for 2θ = 5–70°, in order of rising 2θ:
(hkl)  d/Å  I_rel
0 1 1  3.687  91.7
1 0 1  3.591  100.0
1 1 2  2.399  22.9
0 0 4  2.347  47.5
0 2 0  2.005  37.6
2 0 0  1.943  33.7
1 2 1  1.750  21.8
1 0 5  1.691  21.8
0 2 4  1.525  26.4
2 2 0  1.395  18.8

---

# 7
The following is a calculated powder XRD pattern of Li4Mn3Nb2Cr3O16. It was derived from DFT lattice parameters and positions (PBE+U), using Cu Ka.

Structural model:
```
data_Li4Mn3Nb2Cr3O16
_space_group_name_H-M_alt 'C 1 m 1'
_space_group_IT_number 8
_cell_length_a 10.454
_cell_length_b 5.928
_cell_length_c 9.770
_cell_angle_alpha 90.00
_cell_angle_beta 92.48
_cell_angle_gamma 90.00
loop_
_space_group_symop_operation_xyz
'x,y,z'
'x,-y,z'
'x+1/2,y+1/2,z'
'x+1/2,-y+1/2,z'
loop_
_atom_site_label
_atom_site_fract_x
_atom_site_fract_y
_atom_site_fract_z
Li1 0.000 0.000 0.000
Li2 0.005 0.000 0.500
Li3 0.170 0.500 0.090
Li4 0.342 0.000 0.585
Mn1 0.087 0.254 0.776
Mn2 0.172 0.000 0.278
Nb1 0.182 0.500 0.497
Nb2 0.335 0.000 0.002
Cr1 0.332 0.500 0.775
Cr2 0.418 0.245 0.275
O1 0.000 0.000 0.687
O2 0.006 0.000 0.186
O3 0.025 0.500 0.652
O4 0.083 0.255 0.402
O5 0.162 0.000 0.897
O6 0.169 0.500 0.876
O7 0.252 0.281 0.641
O8 0.263 0.225 0.146
O9 0.333 0.000 0.377
O10 0.338 0.500 0.390
O11 0.408 0.251 0.902
O12 0.482 0.000 0.152
```

Top 10 peaks for 2θ = 5–70°, in order of rising 2θ:
(hkl)  d/Å  I_rel
0 0 2  4.880  30.7
2 0 -1  4.690  29.4
1 1 -1  4.599  66.8
1 1 1  4.520  100.0
1 1 -3  2.778  28.3
1 1 3  2.725  23.9
3 1 -2  2.601  34.5
0 2 2  2.533  30.0
3 1 2  2.515  32.2
6 2 0  1.501  36.8

---

# 8
The following is a calculated powder XRD pattern of NaMo3P3O16. It was derived from DFT lattice parameters and positions (PBE+U), using Cu Ka.

Structural model:
```
data_NaMo3P3O16
_space_group_name_H-M_alt 'P -1'
_space_group_IT_number 2
_cell_length_a 6.502
_cell_length_b 7.785
_cell_length_c 13.005
_cell_angle_alpha 80.01
_cell_angle_beta 79.20
_cell_angle_gamma 82.98
loop_
_space_group_symop_operation_xyz
'x,y,z'
'-x,-y,-z'
loop_
_atom_site_label
_atom_site_fract_x
_atom_site_fract_y
_atom_site_fract_z
Na1 0.099 0.338 0.329
Mo1 0.096 0.243 0.837
Mo2 0.297 0.784 0.460
Mo3 0.441 0.794 0.856
P1 0.073 0.165 0.102
P2 0.192 0.145 0.578
P3 0.436 0.516 0.684
O1 0.019 0.255 0.521
O2 0.076 0.967 0.103
O3 0.100 0.595 0.184
O4 0.123 0.264 0.988
O5 0.142 0.762 0.839
O6 0.143 0.159 0.696
O7 0.200 0.949 0.572
O8 0.242 0.201 0.165
O9 0.275 0.594 0.611
O10 0.304 0.951 0.356
O11 0.341 0.392 0.782
O12 0.365 0.575 0.377
O13 0.369 0.017 0.862
O14 0.398 0.223 0.522
O15 0.414 0.689 0.983
O16 0.481 0.334 0.272
```

Top 10 peaks for 2θ = 5–70°, in order of rising 2θ:
(hkl)  d/Å  I_rel
1 0 1  6.112  30.9
1 1 2  4.544  90.6
1 1 -1  4.394  47.9
-1 1 1  4.343  34.1
0 0 3  4.207  50.4
0 2 0  3.816  100.0
0 2 2  3.515  33.3
0 1 4  3.088  26.9
0 2 3  3.072  36.4
2 1 0  3.037  40.0

---

# 9
The following is a calculated powder XRD pattern of LuMnO3. It was derived from DFT lattice parameters and positions (PBE+U), using Cu Ka.

Structural model:
```
data_LuMnO3
_space_group_name_H-M_alt 'P n m a'
_space_group_IT_number 62
_cell_length_a 5.775
_cell_length_b 7.444
_cell_length_c 5.242
_cell_angle_alpha 90.00
_cell_angle_beta 90.00
_cell_angle_gamma 90.00
loop_
_space_group_symop_operation_xyz
'x,y,z'
'-x,-y,-z'
'-x+1/2,-y,z+1/2'
'x+1/2,y,-z+1/2'
'x+1/2,-y+1/2,-z+1/2'
'-x+1/2,y+1/2,z+1/2'
'-x,y+1/2,-z'
'x,-y+1/2,z'
loop_
_atom_site_label
_atom_site_fract_x
_atom_site_fract_y
_atom_site_fract_z
Lu1 0.083 0.250 0.021
Mn1 0.000 0.000 0.500
O1 0.050 0.750 0.369
O2 0.173 0.562 0.803
```

Top 10 peaks for 2θ = 5–70°, in order of rising 2θ:
(hkl)  d/Å  I_rel
1 0 1  3.881  20.6
0 2 0  3.722  15.1
1 1 1  3.442  31.5
2 0 0  2.887  12.9
1 2 1  2.687  100.0
0 0 2  2.621  20.1
1 3 1  2.091  12.5
2 1 2  1.878  18.5
3 1 1  1.756  20.8
1 2 3  1.525  17.5

---

# 10
The following is a calculated powder XRD pattern of Na2BiWO6. It was derived from DFT lattice parameters and positions (PBE+U), using Cu Ka.

Structural model:
```
data_Na2BiWO6
_space_group_name_H-M_alt 'F m -3 m'
_space_group_IT_number 225
_space_group_name_Hall '-F 4 2 3'
_cell_length_a 8.303
_cell_length_b 8.303
_cell_length_c 8.303
_cell_angle_alpha 90.00
_cell_angle_beta 90.00
_cell_angle_gamma 90.00
loop_
_atom_site_label
_atom_site_fract_x
_atom_site_fract_y
_atom_site_fract_z
Na1 0.250 0.250 0.250
Bi1 0.000 0.000 0.000
W1 0.000 0.000 0.500
O1 0.000 0.000 0.266
```

Top 10 peaks for 2θ = 5–70°, in order of rising 2θ:
(hkl)  d/Å  I_rel
2 0 0  4.152  100.0
2 2 0  2.936  98.1
3 1 1  2.504  0.7
2 2 2  2.397  13.7
4 0 0  2.076  31.7
3 3 1  1.905  0.6
4 2 0  1.857  44.4
4 2 2  1.695  40.5
4 4 0  1.468  19.6
6 0 0  1.384  21.4